Diffraction record for Tm2Ga8Co. The powder XRD pattern is calculated, not measured: it uses a cell relaxed with PBE and Cu Ka.
Kinematic intensities with the Lorentz-polarization factor, no thermal factor.

```
data_Tm2Ga8Co
_chemical_formula_sum 'Tm2 Ga8 Co1'
_cell_length_a 4.222
_cell_length_b 4.222
_cell_length_c 10.992
_cell_angle_alpha 90.00
_cell_angle_beta 90.00
_cell_angle_gamma 90.00
_symmetry_space_group_name_H-M 'P 4/m m m'
_symmetry_Int_Tables_number 123
_symmetry_space_group_name_Hall '-P 4 2'
loop_
_atom_site_label
_atom_site_type_symbol
_atom_site_fract_x
_atom_site_fract_y
_atom_site_fract_z
Tm1 Tm 0.000 0.000 0.195
Ga1 Ga 0.000 0.500 0.000
Ga2 Ga 0.000 0.500 0.383
Ga3 Ga 0.500 0.500 0.191
Co1 Co 0.000 0.000 0.500
```

Most intense lines, 2θ from 5° to 70°, most intense first:
two_theta  I_rel
38.91  100
42.83  57
34.18  52
60.83  27
21.04  24
41.06  22
62.18  19
32.35  12
31.04  9
44.83  8